Simulated powder X-ray diffraction pattern
Compound: SmHoTeAu
Radiation: Cu Kα, 1.54184 Å
Structure: a structure optimized by DFT (GGA-PBE)
Neutral-atom scattering factors, no anomalous dispersion.

Top 10 peaks for 10 to 90 degrees two-theta, by angle:
Position (°2θ)	Rel. int.
11.7	84
29.3	1000
40.5	400
43.2	355
48.3	74
53.0	192
60.7	122
66.8	169
70.7	163
77.3	121

Structure:
Lattice parameters (Å, degrees): 4.1897 4.1897 22.6009 90.00 90.00 120.00
Fractional positions:
1 Sm 0.0000 0.0000 0.0000
2 Sm 0.3333 0.6667 0.6667
3 Sm 0.6667 0.3333 0.3333
4 Ho 0.0000 0.0000 0.5133
5 Ho 0.3333 0.6667 0.1800
6 Ho 0.6667 0.3333 0.8467
7 Te 0.0000 0.0000 0.7588
8 Te 0.3333 0.6667 0.4254
9 Te 0.6667 0.3333 0.0921
10 Au 0.0000 0.0000 0.2538
11 Au 0.3333 0.6667 0.9205
12 Au 0.6667 0.3333 0.5872